Diffraction record for Cs2LiVO4. The powder diffraction line list is computed, not measured: it uses DFT lattice parameters and positions (GGA+U) and Cu Kα (λ = 1.5418 Å).
Peak positions follow from Bragg's law for the DFT cell and can differ from measured ones.

Largest 6 diffraction maxima, in order of falling intensity, 15 to 90 degrees two-theta:
hkl 1 3 1, 28.0 deg, d 3.185, I = 100; hkl 1 1 2, 26.8 deg, d 3.322, I = 53; hkl 2 0 0, 29.2 deg, d 3.061, I = 40; hkl 0 2 3, 35.3 deg, d 2.540, I = 31; hkl 0 0 2, 21.3 deg, d 4.168, I = 25; hkl 2 0 2, 36.4 deg, d 2.467, I = 23

Crystal structure
Unit cell a=6.1227 b=12.5123 c=8.3367 alpha=90.00 beta=90.00 gamma=90.00
Space group Cmc2_1 (No. 36)
Symmetry-distinct sites (fractional):
Cs: 0.0000 0.0716 0.0000 [4 per cell]
Cs: 0.0000 0.3931 0.8676 [4 per cell]
Li: 0.0000 0.2042 0.5874 [4 per cell]
V: 0.0000 0.2998 0.3064 [4 per cell]
O: 0.0000 0.1627 0.3504 [4 per cell]
O: 0.0000 0.3605 0.4951 [4 per cell]
O: 0.2350 0.3359 0.2006 [8 per cell]

=====

Diffraction record for CsLi2VO4. The powder diffraction line list is computed, not measured: it uses DFT lattice parameters and positions (GGA+U) and Cu Kα (λ = 1.5418 Å).
Peak positions follow from Bragg's law for the DFT cell and can differ from measured ones.

Largest 6 diffraction maxima, in order of falling intensity, 15 to 90 degrees two-theta:
hkl 1 1 0, 22.4 deg, d 3.975, I = 100; hkl 1 1 2, 32.3 deg, d 2.770, I = 86; hkl 2 0 2, 39.7 deg, d 2.272, I = 39; hkl 0 0 2, 23.0 deg, d 3.861, I = 34; hkl 3 1 2, 57.0 deg, d 1.615, I = 32; hkl 2 1 1, 37.6 deg, d 2.391, I = 28

Crystal structure
Unit cell a=5.6216 b=5.6216 c=7.7216 alpha=90.00 beta=90.00 gamma=90.00
Space group I-42m (No. 121)
Symmetry-distinct sites (fractional):
Cs: 0.0000 0.0000 0.0000 [2 per cell]
Li: 0.0000 0.5000 0.2500 [4 per cell]
V: 0.0000 0.0000 0.5000 [2 per cell]
O: 0.1745 0.1745 0.3611 [8 per cell]